Record 1
# Na4Hg15Sb
Computed XRD peak list, Cu Kα, 1.54184 Å. Input: the PBE geometry in Alexandria.

The 10 most intense peaks (15° ≤ 2θ ≤ 90°), most intense first:
2θ 33.20, I = 100
2θ 39.96, I = 31
2θ 68.30, I = 26
2θ 54.50, I = 25
2θ 35.50, I = 20
2θ 62.29, I = 16
2θ 69.69, I = 12
2θ 57.79, I = 11
2θ 19.67, I = 10
2θ 26.47, I = 10

Cell and atoms:
a = 4.5125 Å, b = 4.5125 Å, c = 25.2878 Å
α = 90.00°, β = 90.00°, γ = 90.00°
Element x y z (fractional)
Na 0.0000 0.0000 0.0999
Na 0.0000 0.0000 0.3004
Na 0.0000 0.0000 0.6996
Na 0.0000 0.0000 0.9001
Hg 0.0000 0.5000 0.0000
Hg 0.0000 0.5000 0.1979
Hg 0.0000 0.5000 0.3962
Hg 0.0000 0.5000 0.6038
Hg 0.0000 0.5000 0.8021
Hg 0.5000 0.0000 0.0000
Hg 0.5000 0.0000 0.1979
Hg 0.5000 0.0000 0.3962
Hg 0.5000 0.0000 0.6038
Hg 0.5000 0.0000 0.8021
Hg 0.5000 0.5000 0.0952
Hg 0.5000 0.5000 0.2963
Hg 0.5000 0.5000 0.5000
Hg 0.5000 0.5000 0.7037
Hg 0.5000 0.5000 0.9048
Sb 0.0000 0.0000 0.5000

Record 2
# NaTl2HgSb2
Computed XRD peak list, Cu Kα, 1.54184 Å. Input: the PBE geometry in Alexandria.

The 10 most intense peaks (15° ≤ 2θ ≤ 90°), most intense first:
2θ 30.73, I = 100
2θ 28.63, I = 99
2θ 33.92, I = 84
2θ 36.42, I = 63
2θ 29.17, I = 55
2θ 35.82, I = 51
2θ 41.26, I = 30
2θ 55.95, I = 30
2θ 52.00, I = 27
2θ 63.25, I = 23

Cell and atoms:
a = 4.9342 Å, b = 9.3890 Å, c = 7.8068 Å
α = 90.00°, β = 90.00°, γ = 90.00°
Element x y z (fractional)
Na 0.0000 0.0456 0.0000
Na 0.0000 0.9544 0.5000
Tl 0.0000 0.3350 0.3505
Tl 0.0000 0.6650 0.8505
Tl 0.5000 0.4180 0.0245
Tl 0.5000 0.5820 0.5245
Hg 0.5000 0.1654 0.6595
Hg 0.5000 0.8346 0.1595
Sb 0.0000 0.3296 0.7556
Sb 0.0000 0.6704 0.2556
Sb 0.5000 0.1347 0.2762
Sb 0.5000 0.8653 0.7762

Record 3
# Na2HgSe2
Computed XRD peak list, Cu Kα, 1.54184 Å. Input: the PBE geometry in Alexandria.

The 10 most intense peaks (15° ≤ 2θ ≤ 90°), most intense first:
2θ 21.85, I = 100
2θ 29.98, I = 60
2θ 32.13, I = 32
2θ 40.72, I = 26
2θ 20.11, I = 21
2θ 44.55, I = 19
2θ 31.21, I = 18
2θ 36.02, I = 17
2θ 48.72, I = 15
2θ 45.41, I = 13

Cell and atoms:
a = 7.5720 Å, b = 7.5720 Å, c = 7.5991 Å
α = 102.47°, β = 102.47°, γ = 43.17°
Element x y z (fractional)
Na 0.0900 0.0900 0.2956
Na 0.4093 0.4093 0.2041
Na 0.5907 0.5907 0.7959
Na 0.9100 0.9100 0.7044
Hg 0.2502 0.2502 0.7501
Hg 0.7498 0.7498 0.2499
Se 0.1178 0.1178 0.9179
Se 0.3826 0.3826 0.5824
Se 0.6174 0.6174 0.4176
Se 0.8822 0.8822 0.0821

Repeat the second record exactly.
# NaTl2HgSb2
Computed XRD peak list, Cu Kα, 1.54184 Å. Input: the PBE geometry in Alexandria.

The 10 most intense peaks (15° ≤ 2θ ≤ 90°), most intense first:
2θ 30.73, I = 100
2θ 28.63, I = 99
2θ 33.92, I = 84
2θ 36.42, I = 63
2θ 29.17, I = 55
2θ 35.82, I = 51
2θ 41.26, I = 30
2θ 55.95, I = 30
2θ 52.00, I = 27
2θ 63.25, I = 23

Cell and atoms:
a = 4.9342 Å, b = 9.3890 Å, c = 7.8068 Å
α = 90.00°, β = 90.00°, γ = 90.00°
Element x y z (fractional)
Na 0.0000 0.0456 0.0000
Na 0.0000 0.9544 0.5000
Tl 0.0000 0.3350 0.3505
Tl 0.0000 0.6650 0.8505
Tl 0.5000 0.4180 0.0245
Tl 0.5000 0.5820 0.5245
Hg 0.5000 0.1654 0.6595
Hg 0.5000 0.8346 0.1595
Sb 0.0000 0.3296 0.7556
Sb 0.0000 0.6704 0.2556
Sb 0.5000 0.1347 0.2762
Sb 0.5000 0.8653 0.7762